For Mg7Pd, the PBE geometry in Alexandria gives the theoretical powder diffraction line list in this record (a wavelength of 1.5418 Å).

Atomic structure:
Unit cell a=4.8846 b=4.8846 c=23.7166 alpha=90.00 beta=90.00 gamma=120.00
Space group R-3m (No. 166, hexagonal axes)
Unique sites:
Mg: 0.0000 0.0000 0.0000 (multiplicity 3)
Mg: 0.0000 0.0000 0.1306 (multiplicity 6)
Mg: 0.0000 0.0000 0.2526 (multiplicity 6)
Mg: 0.0000 0.0000 0.3834 (multiplicity 6)
Pd: 0.0000 0.0000 0.5000 (multiplicity 3)

Main lines, low angle first (5 to 70 degrees two-theta):
hkl, two_theta, I_rel
0 0 3, 11.2, 56
1 0 1, 21.3, 37
0 1 2, 22.3, 31
1 0 4, 25.9, 22
1 1 0, 36.8, 100
0 1 8, 37.0, 94
1 1 3, 38.6, 17
2 0 8, 53.2, 32
3 0 0, 66.3, 17
1 2 8, 66.4, 32

---

For Mg3Pd2, the PBE geometry in Alexandria gives the theoretical powder diffraction line list in this record (a wavelength of 1.5418 Å).

Atomic structure:
Unit cell a=7.9583 b=7.9583 c=15.1344 alpha=90.00 beta=90.00 gamma=120.00
Space group R-3 (No. 148, hexagonal axes)
Unique sites:
Mg: 0.0000 0.0000 0.0000 (multiplicity 3)
Mg: 0.0000 0.0000 0.2063 (multiplicity 6)
Mg: 0.0115 0.7584 0.4101 (multiplicity 18)
Pd: 0.0306 0.6227 0.5737 (multiplicity 18)

Main lines, low angle first (5 to 70 degrees two-theta):
hkl, two_theta, I_rel
1 0 1, 14.1, 38
1 1 0, 22.3, 44
2 -1 3, 28.6, 100
0 0 6, 35.6, 37
1 2 2, 36.5, 73
3 0 0, 39.2, 38
3 -1 4, 42.1, 49
1 1 6, 42.4, 38
4 -1 2, 49.2, 26
2 3 2, 59.7, 18

---

For Mg2Pd, the PBE geometry in Alexandria gives the theoretical powder diffraction line list in this record (a wavelength of 1.5418 Å).

Atomic structure:
Unit cell a=3.2627 b=3.2627 c=10.2225 alpha=90.00 beta=90.00 gamma=90.00
Space group I4/mmm (No. 139)
Unique sites:
Mg: 0.0000 0.0000 0.1465 (multiplicity 4)
Pd: 0.0000 0.0000 0.5000 (multiplicity 2)

Main lines, low angle first (5 to 70 degrees two-theta):
hkl, two_theta, I_rel
0 0 2, 17.3, 68
1 0 1, 28.7, 53
1 0 3, 38.2, 100
1 1 0, 39.0, 49
1 1 2, 43.0, 26
1 0 5, 52.8, 20
2 0 0, 56.4, 16
2 0 2, 59.5, 10
2 1 1, 64.5, 10
1 1 6, 68.5, 15

---

For Mg5Pd3, the PBE geometry in Alexandria gives the theoretical powder diffraction line list in this record (a wavelength of 1.5418 Å).

Atomic structure:
Unit cell a=7.4004 b=7.4004 c=2.9630 alpha=90.00 beta=90.00 gamma=120.00
Space group P-62m (No. 189)
Unique sites:
Mg: 0.0000 0.7592 0.0000 (multiplicity 3)
Mg: 0.3333 0.6667 0.0000 (multiplicity 2)
Pd: 0.0000 0.3743 0.5000 (multiplicity 3)

Main lines, low angle first (5 to 70 degrees two-theta):
hkl, two_theta, I_rel
1 1 0, 24.1, 85
2 1 0, 37.1, 25
1 1 1, 38.9, 100
2 0 1, 41.5, 16
3 0 0, 42.3, 33
2 2 0, 49.3, 12
3 1 0, 51.4, 11
3 0 1, 52.8, 12
2 2 1, 58.8, 14
3 1 1, 60.8, 14

---

For Mg2Pd3, the PBE geometry in Alexandria gives the theoretical powder diffraction line list in this record (a wavelength of 1.5418 Å).

Atomic structure:
Unit cell a=3.2388 b=3.2388 c=15.2420 alpha=90.00 beta=90.00 gamma=90.00
Space group P4/mmm (No. 123)
Unique sites:
Mg: 0.0000 0.0000 0.1010 (multiplicity 2)
Mg: 0.0000 0.0000 0.3063 (multiplicity 2)
Pd: 0.0000 0.0000 0.5000 (multiplicity 1)
Pd: 0.5000 0.5000 0.0000 (multiplicity 1)
Pd: 0.5000 0.5000 0.2010 (multiplicity 2)
Pd: 0.5000 0.5000 0.3974 (multiplicity 2)

Main lines, low angle first (5 to 70 degrees two-theta):
hkl, two_theta, I_rel
0 0 1, 5.8, 28
0 0 2, 11.6, 5
1 0 0, 27.5, 28
0 0 5, 29.3, 12
1 1 0, 39.3, 55
1 0 5, 40.6, 100
1 1 5, 49.8, 11
2 0 0, 56.9, 18
0 0 10, 60.8, 7
2 1 0, 64.3, 5

---

For Mg2Pd5, the PBE geometry in Alexandria gives the theoretical powder diffraction line list in this record (a wavelength of 1.5418 Å).

Atomic structure:
Unit cell a=6.6134 b=12.2916 c=5.6376 alpha=90.00 beta=90.00 gamma=90.00
Space group Cccm (No. 66)
Unique sites:
Mg: 0.1997 0.1084 0.0000 (multiplicity 8)
Pd: 0.0000 0.2708 0.2500 (multiplicity 8)
Pd: 0.0000 0.5000 0.2500 (multiplicity 4)
Pd: 0.2097 0.1152 0.5000 (multiplicity 8)

Main lines, low angle first (5 to 70 degrees two-theta):
hkl, two_theta, I_rel
1 1 0, 15.2, 30
1 1 1, 21.9, 42
1 3 1, 30.2, 27
1 1 2, 35.4, 38
1 5 0, 39.1, 37
2 4 0, 40.1, 100
3 1 0, 41.6, 26
2 0 2, 42.1, 100
0 4 2, 43.6, 90
3 5 2, 65.9, 28